Computed powder diffraction line list of Pr2TcC4 for Cu Kα X-rays, from the GGA-PBE geometry in Alexandria.
Intensities are scaled so that the largest is 100.

Main lines, low angle first (2θ = 10–90°):
(1 2 1), 26.67°, rel. 92
(1 3 0), 28.94°, rel. 82
(2 1 1), 29.20°, rel. 100
(3 1 0), 34.92°, rel. 45
(1 1 2), 36.15°, rel. 49
(2 0 2), 40.25°, rel. 21
(1 4 1), 41.23°, rel. 22
(0 4 2), 49.53°, rel. 41
(2 5 1), 53.86°, rel. 25
(3 3 2), 55.70°, rel. 50

Lattice parameters (Å, degrees): 7.9730 10.0384 5.4170 90.00 90.00 90.00
Space group Ibam (No. 72)
Symmetry-distinct sites (fractional):
Pr1 0.1513 0.1510 0.0000
Tc1 0.0000 0.5000 0.2500
C1 0.1631 0.1229 0.5000
C2 0.1773 0.4250 0.0000


Computed powder diffraction line list of Pr2TcC2 for Cu Kα X-rays, from the GGA-PBE geometry in Alexandria.
Intensities are scaled so that the largest is 100.

Main lines, low angle first (2θ = 10–90°):
(1 0 3), 29.12°, rel. 25
(0 1 3), 30.79°, rel. 70
(2 1 0), 31.32°, rel. 29
(2 0 2), 31.73°, rel. 39
(2 1 1), 32.53°, rel. 100
(0 2 0), 33.19°, rel. 76
(1 1 3), 33.62°, rel. 53
(1 0 4), 37.32°, rel. 30
(2 2 2), 46.58°, rel. 26
(0 3 3), 57.83°, rel. 33

Lattice parameters (Å, degrees): 6.7302 5.3979 10.3328 90.00 90.00 90.00
Space group Pnma (No. 62)
Symmetry-distinct sites (fractional):
Pr1 0.0270 0.2500 0.2126
Pr2 0.1872 0.2500 0.5511
Tc1 0.2282 0.2500 0.8564
C1 0.0359 0.7500 0.2428
C2 0.1912 0.7500 0.5334


Computed powder diffraction line list of Pr8Te2C3 for Cu Kα X-rays, from the GGA-PBE geometry in Alexandria.
Intensities are scaled so that the largest is 100.

Main lines, low angle first (2θ = 10–90°):
(4 0 0), 23.44°, rel. 18
(2 0 -2), 26.95°, rel. 20
(0 2 1), 27.23°, rel. 45
(4 0 -2), 31.18°, rel. 100
(2 0 2), 32.96°, rel. 41
(4 2 -1), 33.62°, rel. 72
(6 0 0), 35.48°, rel. 32
(2 2 -3), 47.19°, rel. 34
(0 4 0), 47.88°, rel. 19
(4 2 3), 60.00°, rel. 17

Lattice parameters (Å, degrees): 15.7631 7.5993 6.7034 90.00 105.65 90.00
Space group C2/m (No. 12)
Symmetry-distinct sites (fractional):
Pr1 0.0934 0.0000 0.3944
Pr2 0.0928 0.2405 0.8867
Pr3 0.0939 0.5000 0.4148
Te1 0.2464 0.5000 0.1765
C1 0.0000 0.0000 0.0000
C2 0.0000 0.2479 0.5000


Computed powder diffraction line list of Pr3Te2C for Cu Kα X-rays, from the GGA-PBE geometry in Alexandria.
Intensities are scaled so that the largest is 100.

Main lines, low angle first (2θ = 10–90°):
(0 4 0), 29.22°, rel. 57
(2 0 6), 29.44°, rel. 100
(3 1 1), 31.57°, rel. 16
(1 3 7), 34.82°, rel. 13
(3 3 1), 37.97°, rel. 18
(4 0 0), 41.04°, rel. 14
(2 4 6), 41.96°, rel. 69
(0 0 12), 43.18°, rel. 16
(4 4 0), 51.17°, rel. 14
(0 4 12), 52.99°, rel. 16

Lattice parameters (Å, degrees): 8.7980 12.2265 25.1418 90.00 90.00 90.00
Space group Fddd (No. 70, origin choice 2)
Symmetry-distinct sites (fractional):
Pr1 0.0719 0.3750 0.3750
Pr2 0.0993 0.3559 0.2181
Te1 0.1250 0.1250 0.3810
Te2 0.1250 0.1250 0.5478
C1 0.1250 0.1250 0.0402


Computed powder diffraction line list of PrTh3C8 for Cu Kα X-rays, from the GGA-PBE geometry in Alexandria.
Intensities are scaled so that the largest is 100.

Main lines, low angle first (2θ = 10–90°):
(2 2 0), 25.48°, rel. 54
(2 0 2), 28.09°, rel. 100
(4 0 0), 36.34°, rel. 30
(4 2 2), 46.55°, rel. 56
(2 2 4), 51.25°, rel. 21
(4 0 4), 58.08°, rel. 13
(6 2 0), 59.09°, rel. 12
(6 0 2), 60.45°, rel. 11
(6 4 2), 72.62°, rel. 14
(6 2 4), 76.29°, rel. 14

Lattice parameters (Å, degrees): 9.8867 9.8901 8.2891 90.00 90.00 90.00
Space group Fmm2 (No. 42)
Symmetry-distinct sites (fractional):
Pr1 0.0000 0.0000 0.0000
Th1 0.0000 0.0000 0.5005
Th2 0.2500 0.2500 0.2510
C1 0.0000 0.1665 0.2612
C2 0.0000 0.2459 0.6396
C3 0.1668 0.0000 0.7404
C4 0.2443 0.0000 0.3607


Computed powder diffraction line list of PrTh4C4 for Cu Kα X-rays, from the GGA-PBE geometry in Alexandria.
Intensities are scaled so that the largest is 100.

Main lines, low angle first (2θ = 10–90°):
(1 2 1), 28.94°, rel. 100
(3 1 0), 33.48°, rel. 40
(0 0 2), 33.67°, rel. 20
(2 4 0), 48.07°, rel. 15
(3 1 2), 48.22°, rel. 29
(5 0 1), 57.09°, rel. 30
(1 2 3), 57.35°, rel. 16
(2 4 2), 59.97°, rel. 15
(5 0 3), 78.01°, rel. 12
(5 5 2), 89.84°, rel. 10

Lattice parameters (Å, degrees): 8.4647 8.4647 5.3231 90.00 90.00 90.00
Space group I4/m (No. 87)
Symmetry-distinct sites (fractional):
Pr1 0.0000 0.0000 0.0000
Th1 0.1048 0.6907 0.5000
C1 0.0926 0.6879 0.0000


Computed powder diffraction line list of Pr3ThC8 for Cu Kα X-rays, from the GGA-PBE geometry in Alexandria.
Intensities are scaled so that the largest is 100.

Main lines, low angle first (2θ = 10–90°):
(2 0 0), 24.54°, rel. 59
(1 1 2), 28.36°, rel. 100
(2 2 0), 34.98°, rel. 35
(3 1 2), 45.62°, rel. 68
(2 0 4), 52.40°, rel. 20
(4 2 0), 56.75°, rel. 14
(2 2 4), 58.72°, rel. 25
(5 1 2), 70.22°, rel. 23
(4 2 4), 75.59°, rel. 14
(5 3 2), 80.95°, rel. 11

Lattice parameters (Å, degrees): 7.2550 7.2550 7.9686 90.00 90.00 90.00
Space group I-42m (No. 121)
Symmetry-distinct sites (fractional):
Pr1 0.0000 0.0000 0.0000
Pr2 0.0000 0.5000 0.2500
Th1 0.0000 0.0000 0.5000
C1 0.1591 0.1591 0.7271
C2 0.2367 0.2367 0.1330


Computed powder diffraction line list of PrTlC for Cu Kα X-rays, from the GGA-PBE geometry in Alexandria.
Intensities are scaled so that the largest is 100.

Main lines, low angle first (2θ = 10–90°):
(0 0 1), 10.21°, rel. 48
(1 0 1), 25.65°, rel. 25
(1 1 0), 25.78°, rel. 30
(0 1 2), 28.17°, rel. 100
(1 1 -1), 29.92°, rel. 79
(1 0 2), 30.11°, rel. 81
(0 1 -2), 31.30°, rel. 38
(1 -1 0), 39.24°, rel. 39
(1 2 1), 39.97°, rel. 36
(2 1 1), 45.97°, rel. 29

Lattice parameters (Å, degrees): 3.9497 4.5953 8.8915 79.91 78.33 65.56
Space group P-1 (No. 2)
Symmetry-distinct sites (fractional):
Pr1 0.0966 0.1647 0.1553
Tl1 0.3124 0.2797 0.5888
C1 0.4131 0.6375 0.0328


Computed powder diffraction line list of PrVC for Cu Kα X-rays, from the GGA-PBE geometry in Alexandria.
Intensities are scaled so that the largest is 100.

Main lines, low angle first (2θ = 10–90°):
(0 0 1), 18.84°, rel. 15
(1 0 0), 28.95°, rel. 35
(1 0 1), 34.77°, rel. 100
(0 0 2), 38.22°, rel. 17
(1 0 2), 48.65°, rel. 18
(1 1 0), 51.31°, rel. 21
(2 0 1), 63.48°, rel. 17
(1 1 2), 65.75°, rel. 19
(1 0 3), 66.87°, rel. 14
(2 1 1), 85.90°, rel. 14

Lattice parameters (Å, degrees): 3.5609 3.5609 4.7102 90.00 90.00 120.00
Space group P-6m2 (No. 187)
Symmetry-distinct sites (fractional):
Pr1 0.0000 0.0000 0.0000
V1 0.3333 0.6667 0.5000
C1 0.6667 0.3333 0.5000


Computed powder diffraction line list of PrZnC for Cu Kα X-rays, from the GGA-PBE geometry in Alexandria.
Intensities are scaled so that the largest is 100.

Main lines, low angle first (2θ = 10–90°):
(1 1 0), 25.57°, rel. 24
(2 0 -2), 28.57°, rel. 43
(2 0 1), 28.80°, rel. 56
(1 1 1), 29.25°, rel. 78
(1 1 -2), 32.41°, rel. 100
(0 0 3), 34.45°, rel. 42
(3 1 -1), 41.88°, rel. 62
(0 2 0), 46.19°, rel. 26
(3 1 2), 53.45°, rel. 23
(3 1 -4), 57.12°, rel. 22

Lattice parameters (Å, degrees): 7.7637 3.9304 8.0637 90.00 104.40 90.00
Space group C2/m (No. 12)
Symmetry-distinct sites (fractional):
Pr1 0.0921 0.0000 0.3077
Zn1 0.1574 0.5000 0.9986
C1 0.0849 0.5000 0.5409